Entry 1:
# K2YAuBr6
Theoretical powder diffractogram, Cu Kα X-rays. Input: the PBE geometry in the Materials Project.
Peak positions follow from Bragg's law for the DFT cell and can differ from measured ones.

Largest 10 diffraction maxima, most intense first, 2θ = 15–90°:
- 31.73 deg, rel. 100
- 15.71 deg, rel. 99
- 45.49 deg, rel. 72
- 35.59 deg, rel. 54
- 75.36 deg, rel. 31
- 48.42 deg, rel. 29
- 22.29 deg, rel. 28
- 56.52 deg, rel. 25
- 84.08 deg, rel. 24
- 27.39 deg, rel. 22

Cell and atoms:
a b c (Å): 7.976 7.976 7.976
angles (deg): 60.00 60.00 60.00
Atoms (fractional coordinates):
K 0.250 0.250 0.250
K 0.750 0.750 0.750
Y 0.000 0.000 0.000
Au 0.500 0.500 0.500
Br 0.247 0.247 0.753
Br 0.247 0.753 0.247
Br 0.247 0.753 0.753
Br 0.753 0.247 0.247
Br 0.753 0.247 0.753
Br 0.753 0.753 0.247

***

Entry 2:
# AuBr3N2
Theoretical powder diffractogram, Cu Kα X-rays. Input: the PBE geometry in the Materials Project.
Peak positions follow from Bragg's law for the DFT cell and can differ from measured ones.

Largest 10 diffraction maxima, most intense first, 2θ = 15–90°:
- 21.96 deg, rel. 100
- 27.90 deg, rel. 81
- 18.13 deg, rel. 42
- 17.13 deg, rel. 32
- 36.17 deg, rel. 30
- 15.97 deg, rel. 29
- 42.39 deg, rel. 27
- 36.73 deg, rel. 23
- 29.06 deg, rel. 21
- 37.68 deg, rel. 21

Cell and atoms:
a b c (Å): 7.903 8.093 6.517
angles (deg): 90.00 121.59 90.00
Atoms (fractional coordinates):
Au 0.000 0.000 0.000
Au 0.500 0.500 0.000
Br 0.000 0.500 0.500
Br 0.223 0.000 0.834
Br 0.277 0.500 0.166
Br 0.500 0.000 0.500
Br 0.723 0.500 0.834
Br 0.777 0.000 0.166
N 0.228 0.000 0.344
N 0.272 0.500 0.656
N 0.728 0.500 0.344
N 0.772 0.000 0.656

***

Entry 3:
# Au3Br8N3
Theoretical powder diffractogram, Cu Kα X-rays. Input: the PBE geometry in the Materials Project.
Peak positions follow from Bragg's law for the DFT cell and can differ from measured ones.

Largest 10 diffraction maxima, most intense first, 2θ = 15–90°:
- 15.09 deg, rel. 100
- 30.46 deg, rel. 43
- 17.60 deg, rel. 23
- 31.67 deg, rel. 15
- 30.57 deg, rel. 13
- 47.63 deg, rel. 11
- 24.44 deg, rel. 11
- 46.41 deg, rel. 9
- 34.62 deg, rel. 9
- 23.06 deg, rel. 8

Cell and atoms:
a b c (Å): 7.672 7.672 19.879
angles (deg): 97.32 97.32 64.32
Atoms (fractional coordinates):
Au 0.000 0.000 0.000
Au 0.000 0.000 0.500
Au 0.380 0.390 0.692
Au 0.390 0.380 0.192
Au 0.610 0.620 0.808
Au 0.620 0.610 0.308
Br 0.107 0.496 0.253
Br 0.147 0.206 0.563
Br 0.159 0.717 0.069
Br 0.206 0.147 0.063
Br 0.249 0.662 0.626
Br 0.283 0.841 0.431
Br 0.338 0.751 0.874
Br 0.496 0.107 0.753
Br 0.504 0.893 0.247
Br 0.662 0.249 0.126
Br 0.717 0.159 0.569
Br 0.751 0.338 0.374
Br 0.794 0.853 0.937
Br 0.841 0.283 0.931
Br 0.853 0.794 0.437
Br 0.893 0.504 0.747
N 0.014 0.986 0.250
N 0.312 0.324 0.914
N 0.324 0.312 0.414
N 0.676 0.688 0.586
N 0.688 0.676 0.086
N 0.986 0.014 0.750

***

Entry 4:
# Na3AuBr6
Theoretical powder diffractogram, Cu Kα X-rays. Input: the PBE geometry in the Materials Project.
Peak positions follow from Bragg's law for the DFT cell and can differ from measured ones.

Largest 10 diffraction maxima, most intense first, 2θ = 15–90°:
- 16.19 deg, rel. 100
- 32.71 deg, rel. 92
- 46.94 deg, rel. 65
- 36.71 deg, rel. 52
- 28.23 deg, rel. 32
- 78.06 deg, rel. 28
- 27.01 deg, rel. 28
- 49.98 deg, rel. 27
- 58.39 deg, rel. 22
- 87.23 deg, rel. 21

Cell and atoms:
a b c (Å): 7.743 7.743 7.743
angles (deg): 60.00 60.00 60.00
Atoms (fractional coordinates):
Na 0.000 0.000 0.000
Na 0.250 0.250 0.250
Na 0.750 0.750 0.750
Au 0.500 0.500 0.500
Br 0.259 0.259 0.741
Br 0.259 0.741 0.259
Br 0.259 0.741 0.741
Br 0.741 0.259 0.259
Br 0.741 0.259 0.741
Br 0.741 0.741 0.259